Entry 1:
Diffraction record for AcF3. The XRD peak list is simulated, not measured: it uses a structure optimized by DFT (GGA-PBE) and Cu Kα.

Structure:
```
data_AcF3
_chemical_formula_sum 'Ac4 F12'
_symmetry_space_group_name_H-M 'F m -3 m'
_symmetry_Int_Tables_number 225
_symmetry_space_group_name_Hall '-F 4 2 3'
_cell_length_a 6.0433
_cell_length_b 6.0433
_cell_length_c 6.0433
_cell_angle_alpha 90.00
_cell_angle_beta 90.00
_cell_angle_gamma 90.00
loop_
_atom_site_label
_atom_site_type_symbol
_atom_site_fract_x
_atom_site_fract_y
_atom_site_fract_z
Ac1 Ac 0.0000 0.0000 0.0000
F1 F 0.0000 0.0000 0.5000
F2 F 0.2500 0.2500 0.2500
```

Main lines, by angle (2θ from 10° to 90°):
2theta  d (Å)  I/Imax  index
25.5  3.489  100  1 1 1
29.6  3.022  52  2 0 0
42.3  2.137  78  2 2 0
50.1  1.822  52  3 1 1
67.6  1.386  22  3 3 1
77.4  1.234  25  4 2 2

Entry 2:
Diffraction record for AcGa3. The XRD peak list is simulated, not measured: it uses a structure optimized by DFT (GGA-PBE) and Cu Kα.

Structure:
```
data_AcGa3
_chemical_formula_sum 'Ac2 Ga6'
_symmetry_space_group_name_H-M 'P 63/m m c'
_symmetry_Int_Tables_number 194
_symmetry_space_group_name_Hall '-P 6c 2c'
_cell_length_a 6.8411
_cell_length_b 6.8411
_cell_length_c 4.7050
_cell_angle_alpha 90.00
_cell_angle_beta 90.00
_cell_angle_gamma 120.00
loop_
_atom_site_label
_atom_site_type_symbol
_atom_site_fract_x
_atom_site_fract_y
_atom_site_fract_z
Ac1 Ac 0.3333 0.6667 0.2500
Ga1 Ga 0.1356 0.2712 0.7500
```

Main lines, by angle (2θ from 10° to 90°):
2theta  d (Å)  I/Imax  index
24.2  3.684  50  1 0 1
26.1  3.421  26  1 1 0
30.2  2.962  25  2 0 0
35.8  2.507  100  2 0 1
38.3  2.352  21  0 0 2
59.6  1.551  18  3 1 1

Entry 3:
Diffraction record for Ac2InGa. The XRD peak list is simulated, not measured: it uses a structure optimized by DFT (GGA-PBE) and Cu Kα.

Structure:
```
data_Ac2InGa
_chemical_formula_sum 'Ac8 In4 Ga4'
_symmetry_space_group_name_H-M 'F m -3 m'
_symmetry_Int_Tables_number 225
_symmetry_space_group_name_Hall '-F 4 2 3'
_cell_length_a 8.0782
_cell_length_b 8.0782
_cell_length_c 8.0782
_cell_angle_alpha 90.00
_cell_angle_beta 90.00
_cell_angle_gamma 90.00
loop_
_atom_site_label
_atom_site_type_symbol
_atom_site_fract_x
_atom_site_fract_y
_atom_site_fract_z
Ac1 Ac 0.2500 0.2500 0.2500
In1 In 0.0000 0.0000 0.0000
Ga1 Ga 0.0000 0.0000 0.5000
```

Main lines, by angle (2θ from 10° to 90°):
2theta  d (Å)  I/Imax  index
22.0  4.039  18  2 0 0
31.3  2.856  100  2 2 0
44.9  2.020  19  4 0 0
55.7  1.649  40  4 2 2
65.3  1.428  12  4 4 0
74.3  1.277  17  6 2 0

Entry 4:
Diffraction record for Ac2MgGa. The XRD peak list is simulated, not measured: it uses a structure optimized by DFT (GGA-PBE) and Cu Kα.

Structure:
```
data_Ac2MgGa
_chemical_formula_sum 'Ac8 Mg4 Ga4'
_symmetry_space_group_name_H-M 'F m -3 m'
_symmetry_Int_Tables_number 225
_symmetry_space_group_name_Hall '-F 4 2 3'
_cell_length_a 8.0202
_cell_length_b 8.0202
_cell_length_c 8.0202
_cell_angle_alpha 90.00
_cell_angle_beta 90.00
_cell_angle_gamma 90.00
loop_
_atom_site_label
_atom_site_type_symbol
_atom_site_fract_x
_atom_site_fract_y
_atom_site_fract_z
Ac1 Ac 0.2500 0.2500 0.2500
Mg1 Mg 0.0000 0.0000 0.0000
Ga1 Ga 0.0000 0.0000 0.5000
```

Main lines, by angle (2θ from 10° to 90°):
2theta  d (Å)  I/Imax  index
22.2  4.010  47  2 0 0
31.6  2.836  100  2 2 0
45.2  2.005  19  4 0 0
50.9  1.793  22  4 2 0
56.2  1.637  40  4 2 2
74.9  1.268  17  6 2 0

Entry 5:
Diffraction record for Ac2GaSi. The XRD peak list is simulated, not measured: it uses a structure optimized by DFT (GGA-PBE) and Cu Kα.

Structure:
```
data_Ac2GaSi
_chemical_formula_sum 'Ac8 Ga4 Si4'
_symmetry_space_group_name_H-M 'F m -3 m'
_symmetry_Int_Tables_number 225
_symmetry_space_group_name_Hall '-F 4 2 3'
_cell_length_a 7.7779
_cell_length_b 7.7779
_cell_length_c 7.7779
_cell_angle_alpha 90.00
_cell_angle_beta 90.00
_cell_angle_gamma 90.00
loop_
_atom_site_label
_atom_site_type_symbol
_atom_site_fract_x
_atom_site_fract_y
_atom_site_fract_z
Ac1 Ac 0.2500 0.2500 0.2500
Ga1 Ga 0.0000 0.0000 0.0000
Si1 Si 0.0000 0.0000 0.5000
```

Main lines, by angle (2θ from 10° to 90°):
2theta  d (Å)  I/Imax  index
22.9  3.889  46  2 0 0
32.6  2.750  100  2 2 0
46.7  1.944  19  4 0 0
52.6  1.739  21  4 2 0
58.1  1.588  39  4 2 2
77.6  1.230  17  6 2 0

Entry 6:
Diffraction record for AcGaTe2. The XRD peak list is simulated, not measured: it uses a structure optimized by DFT (GGA-PBE) and Cu Kα.

Structure:
```
data_AcGaTe2
_chemical_formula_sum 'Ac4 Ga4 Te8'
_symmetry_space_group_name_H-M 'F m -3 m'
_symmetry_Int_Tables_number 225
_symmetry_space_group_name_Hall '-F 4 2 3'
_cell_length_a 7.9855
_cell_length_b 7.9855
_cell_length_c 7.9855
_cell_angle_alpha 90.00
_cell_angle_beta 90.00
_cell_angle_gamma 90.00
loop_
_atom_site_label
_atom_site_type_symbol
_atom_site_fract_x
_atom_site_fract_y
_atom_site_fract_z
Ac1 Ac 0.0000 0.0000 0.0000
Ga1 Ga 0.0000 0.0000 0.5000
Te1 Te 0.2500 0.2500 0.2500
```

Main lines, by angle (2θ from 10° to 90°):
2theta  d (Å)  I/Imax  index
19.3  4.610  16  1 1 1
31.7  2.823  100  2 2 0
45.4  1.996  19  4 0 0
56.5  1.630  39  4 2 2
66.2  1.412  12  4 4 0
75.3  1.263  17  6 2 0